Theoretical powder diffractogram of KMg3Sb3 for Cu Kα (λ = 1.5418 Å), from the GGA-PBE geometry in Alexandria.

Crystal structure
a b c (Å): 7.7645 7.7645 27.2911
angles (deg): 90.00 90.00 120.00
Space group R-3 (No. 148, hexagonal axes)
Symmetry-distinct sites (fractional):
K  0.0000  0.0000  0.1697 (multiplicity 6)
Mg  0.0229  0.7140  0.6991 (multiplicity 18)
Sb  0.0192  0.7156  0.5904 (multiplicity 18)

Most intense lines, 2θ = 15–90°, most intense first:
24.94°, I 100, hkl 1 1 3
37.64°, I 52, hkl 1 1 9
19.52°, I 32, hkl 0 0 6
30.27°, I 31, hkl 2 -1 6
40.23°, I 29, hkl 3 0 0
22.91°, I 22, hkl 1 1 0

---

Theoretical powder diffractogram of Co2PdCl for Cu Kα (λ = 1.5418 Å), from the GGA-PBE geometry in Alexandria.

Crystal structure
a b c (Å): 6.671 6.671 5.082
angles (deg): 90.00 90.00 90.00
Space group I-42d (No. 122)
Symmetry-distinct sites (fractional):
Co  0.208  0.250  0.125 (multiplicity 8)
Pd  0.000  0.000  0.500 (multiplicity 4)
Cl  0.000  0.000  0.000 (multiplicity 4)

Most intense lines, 2θ = 15–90°, most intense first:
38.16°, I 100, hkl 2 2 0
40.32°, I 94, hkl 1 1 2
56.72°, I 59, hkl 3 1 2
34.87°, I 45, hkl 2 1 1
55.07°, I 29, hkl 4 0 0
80.99°, I 21, hkl 2 0 4